Calculated XRD peak list of Mn3Se3O10 for λ = 1.5418 Å (Cu Kα), from DFT lattice parameters and positions (GGA+U).

Largest 12 diffraction maxima, low angle first, 2θ from 10° to 90°:
2θ (°)  I/Imax
12.6  25
23.1  62
23.9  100
26.2  21
27.7  24
29.1  71
31.9  20
32.0  48
33.4  58
33.5  35
48.9  21
54.0  23

Crystal structure
Cell: 8.757 8.757 9.935 Å, 117.01 117.01 45.67°
Atoms (fractional coordinates):
1 Mn 0.000 0.500 0.000
2 Mn 0.000 0.500 0.500
3 Mn 0.117 0.117 0.083
4 Mn 0.500 0.000 0.000
5 Mn 0.500 0.000 0.500
6 Mn 0.883 0.883 0.917
7 Se 0.031 0.031 0.332
8 Se 0.360 0.360 0.328
9 Se 0.386 0.386 0.832
10 Se 0.614 0.614 0.168
11 Se 0.640 0.640 0.672
12 Se 0.969 0.969 0.668
13 O 0.017 0.017 0.140
14 O 0.098 0.696 0.592
15 O 0.148 0.550 0.216
16 O 0.167 0.559 0.922
17 O 0.192 0.192 0.984
18 O 0.249 0.249 0.329
19 O 0.284 0.284 0.653
20 O 0.304 0.902 0.408
21 O 0.441 0.833 0.078
22 O 0.450 0.852 0.784
23 O 0.550 0.148 0.216
24 O 0.559 0.167 0.922
25 O 0.696 0.098 0.592
26 O 0.716 0.716 0.347
27 O 0.751 0.751 0.671
28 O 0.808 0.808 0.016
29 O 0.833 0.441 0.078
30 O 0.852 0.450 0.784
31 O 0.902 0.304 0.408
32 O 0.983 0.983 0.860